Calculated powder X-ray diffraction pattern of RbHg6Pd for a wavelength of 1.5418 Å, from DFT lattice parameters and positions (GGA-PBE).
No peak broadening, texture or thermal motion is included.

Principal peaks in the range 5° ≤ 2θ ≤ 70°, by angle:
hkl  2theta  I/Imax
0 0 3  8.19  38.0
0 0 9  24.72  21.5
1 0 7  28.17  81.9
0 0 12  33.18  17.9
1 1 0  35.79  100.0
1 1 9  43.99  24.5
0 2 7  46.16  22.0
1 1 12  49.61  38.8
2 1 7  59.75  20.6
3 0 0  64.32  18.5

Cell and atoms:
Cell lengths 5.0172, 5.0172, 32.3979 Å; angles 90.00, 90.00, 120.00 degrees
Space group R-3m (No. 166, hexagonal axes)
Unique sites:
Rb1 0.0000 0.0000 0.0000 x3
Hg1 0.0000 0.0000 0.1518 x6
Hg2 0.0000 0.0000 0.2654 x6
Hg3 0.0000 0.0000 0.4149 x6
Pd1 0.0000 0.0000 0.5000 x3


Calculated powder X-ray diffraction pattern of MnFeBi2 for a wavelength of 1.5418 Å, from DFT lattice parameters and positions (GGA-PBE).
No peak broadening, texture or thermal motion is included.

Principal peaks in the range 5° ≤ 2θ ≤ 70°, by angle:
hkl  2theta  I/Imax
2 0 0  23.26  51.3
1 1 2  32.23  100.0
2 2 0  33.14  69.4
3 1 2  46.90  69.7
4 0 0  47.56  24.7
4 2 0  53.60  11.1
3 3 2  58.62  17.5
2 0 4  62.28  23.0
5 1 2  69.02  21.1
4 4 0  69.54  7.5

Cell and atoms:
Cell lengths 7.6469, 7.6469, 6.4753 Å; angles 90.00, 90.00, 90.00 degrees
Space group I-42d (No. 122)
Unique sites:
Mn1 0.0000 0.0000 0.0000 x4
Fe1 0.0000 0.0000 0.5000 x4
Bi1 0.2352 0.7500 0.6250 x8


Calculated powder X-ray diffraction pattern of Al8Zn5Mo for a wavelength of 1.5418 Å, from DFT lattice parameters and positions (GGA-PBE).
No peak broadening, texture or thermal motion is included.

Principal peaks in the range 5° ≤ 2θ ≤ 70°, by angle:
hkl  2theta  I/Imax
1 0 1  17.25  27.6
2 1 1  27.19  68.1
1 1 2  31.47  31.9
3 2 1  40.68  100.0
2 2 2  41.01  61.9
4 0 0  42.46  50.6
1 0 3  43.41  23.9
3 1 2  43.80  17.5
3 2 3  58.01  15.6
5 1 2  62.64  16.9

Cell and atoms:
Cell lengths 8.5166, 8.5166, 6.4493 Å; angles 90.00, 90.00, 90.00 degrees
Space group I-4m2 (No. 119)
Unique sites:
Al1 0.0000 0.1848 0.1777 x8
Al2 0.2187 0.2187 0.5000 x8
Zn1 0.0000 0.2820 0.7862 x8
Zn2 0.0000 0.5000 0.2500 x2
Mo1 0.0000 0.0000 0.5000 x2


Calculated powder X-ray diffraction pattern of Cd4CuF10 for a wavelength of 1.5418 Å, from DFT lattice parameters and positions (GGA-PBE).
No peak broadening, texture or thermal motion is included.

Principal peaks in the range 5° ≤ 2θ ≤ 70°, by angle:
hkl  2theta  I/Imax
0 1 5  28.14  100.0
0 0 15  29.84  28.3
1 0 10  33.11  24.7
0 1 17  43.43  5.5
1 1 0  46.40  45.3
0 1 20  48.63  32.7
2 0 5  55.16  14.8
1 1 15  56.15  25.5
1 0 25  58.14  15.0
2 0 20  69.49  10.0

Cell and atoms:
Cell lengths 3.9135, 3.9135, 44.9182 Å; angles 90.00, 90.00, 120.00 degrees
Space group R-3m (No. 166, hexagonal axes)
Unique sites:
Cd1 0.0000 0.0000 0.1044 x6
Cd2 0.0000 0.0000 0.2985 x6
Cu1 0.0000 0.0000 0.5000 x3
F1 0.0000 0.0000 0.0522 x6
F2 0.0000 0.0000 0.1538 x6
F3 0.0000 0.0000 0.2463 x6
F4 0.0000 0.0000 0.3509 x6
F5 0.0000 0.0000 0.4564 x6


Calculated powder X-ray diffraction pattern of Pm6Sm4Pu for a wavelength of 1.5418 Å, from DFT lattice parameters and positions (GGA-PBE).
No peak broadening, texture or thermal motion is included.

Principal peaks in the range 5° ≤ 2θ ≤ 70°, by angle:
hkl  2theta  I/Imax
0 2 5  26.26  35.9
1 3 2  29.11  42.3
0 8 0  30.18  56.2
0 2 6  31.25  100.0
1 5 2  32.88  25.3
0 6 5  34.02  37.0
1 5 3  34.83  42.5
0 6 6  38.07  14.2
2 0 0  50.82  14.8
2 8 0  60.24  18.8

Cell and atoms:
Cell lengths 3.5934, 23.6873, 17.7104 Å; angles 90.00, 90.00, 90.00 degrees
Space group Cmcm (No. 63)
Unique sites:
Pm1 0.0000 0.0000 0.0000 x4
Pm2 0.0000 0.2537 0.2500 x4
Pm3 0.0000 0.2590 0.5821 x8
Pm4 0.0000 0.4890 0.1617 x8
Sm1 0.0000 0.1184 0.1407 x8
Sm2 0.0000 0.3701 0.0511 x8
Pu1 0.0000 0.1236 0.7500 x4


Calculated powder X-ray diffraction pattern of Sr2DyF6 for a wavelength of 1.5418 Å, from DFT lattice parameters and positions (GGA-PBE).
No peak broadening, texture or thermal motion is included.

Principal peaks in the range 5° ≤ 2θ ≤ 70°, by angle:
hkl  2theta  I/Imax
1 0 1  18.05  17.2
1 1 0  23.26  100.0
1 0 3  28.08  82.3
2 0 0  33.12  20.6
2 1 3  43.97  77.0
2 2 0  47.55  17.5
1 1 6  52.39  21.3
3 1 0  53.58  14.5
3 0 3  56.13  25.5
3 2 3  66.75  13.2

Cell and atoms:
Cell lengths 5.4092, 5.4092, 11.7776 Å; angles 90.00, 90.00, 90.00 degrees
Space group P4_2/mnm (No. 136)
Unique sites:
Sr1 0.0000 0.0000 0.1634 x4
Dy1 0.0000 0.0000 0.5000 x2
F1 0.1755 0.1755 0.3410 x8
F2 0.2096 0.2096 0.0000 x4


Calculated powder X-ray diffraction pattern of Tb2ThIn9 for a wavelength of 1.5418 Å, from DFT lattice parameters and positions (GGA-PBE).
No peak broadening, texture or thermal motion is included.

Principal peaks in the range 5° ≤ 2θ ≤ 70°, by angle:
hkl  2theta  I/Imax
0 0 1  6.29  0.8
0 0 3  18.96  3.9
1 1 0  26.94  3.4
1 1 3  33.15  100.0
2 0 0  38.47  49.9
2 0 3  43.22  2.1
1 1 6  47.59  1.7
2 2 0  55.54  33.6
3 1 3  66.23  39.0
2 2 6  69.58  11.2

Cell and atoms:
Cell lengths 4.6775, 4.6775, 14.0578 Å; angles 90.00, 90.00, 90.00 degrees
Space group P4/mmm (No. 123)
Unique sites:
Tb1 0.0000 0.0000 0.1645 x2
Th1 0.0000 0.0000 0.5000 x1
In1 0.0000 0.5000 0.0000 x2
In2 0.0000 0.5000 0.3286 x4
In3 0.5000 0.5000 0.1648 x2
In4 0.5000 0.5000 0.5000 x1


Please write out number 5 again, unchanged.
Calculated powder X-ray diffraction pattern of Pm6Sm4Pu for a wavelength of 1.5418 Å, from DFT lattice parameters and positions (GGA-PBE).
No peak broadening, texture or thermal motion is included.

Principal peaks in the range 5° ≤ 2θ ≤ 70°, by angle:
hkl  2theta  I/Imax
0 2 5  26.26  35.9
1 3 2  29.11  42.3
0 8 0  30.18  56.2
0 2 6  31.25  100.0
1 5 2  32.88  25.3
0 6 5  34.02  37.0
1 5 3  34.83  42.5
0 6 6  38.07  14.2
2 0 0  50.82  14.8
2 8 0  60.24  18.8

Cell and atoms:
Cell lengths 3.5934, 23.6873, 17.7104 Å; angles 90.00, 90.00, 90.00 degrees
Space group Cmcm (No. 63)
Unique sites:
Pm1 0.0000 0.0000 0.0000 x4
Pm2 0.0000 0.2537 0.2500 x4
Pm3 0.0000 0.2590 0.5821 x8
Pm4 0.0000 0.4890 0.1617 x8
Sm1 0.0000 0.1184 0.1407 x8
Sm2 0.0000 0.3701 0.0511 x8
Pu1 0.0000 0.1236 0.7500 x4


What is the formula in the sixth record? Sr2DyF6